Diffraction record for Tb2CClF. The PXRD pattern is theoretical, not measured: it uses a DFT-relaxed cell (PBE, OQMD) and Cu Ka.
Intensities are scaled so that the largest is 100.

Atomic structure:
Unit cell a=3.6729 b=3.6729 c=7.8692 alpha=90.00 beta=90.00 gamma=120.00
Space group P3m1 (No. 156)
Asymmetric unit:
1 Tb 0.0000 0.0000 0.0000 (multiplicity 1)
2 Tb 0.3333 0.6667 0.3468 (multiplicity 1)
3 C 0.6667 0.3333 0.1630 (multiplicity 1)
4 Cl 0.3333 0.6667 0.7651 (multiplicity 1)
5 F 0.0000 0.0000 0.4682 (multiplicity 1)

Most intense lines, 5 to 70 degrees two-theta, low angle first:
- (0 0 1), 11.24°, intensity 49
- (0 0 2), 22.60°, intensity 21
- (1 0 0), 28.05°, intensity 38
- (0 1 1), 30.31°, intensity 93
- (1 0 2), 36.32°, intensity 100
- (1 1 0), 49.64°, intensity 37
- (0 1 4), 54.87°, intensity 26
- (1 1 3), 61.65°, intensity 23